Record 1
Pm8PrEr3: computed PXRD pattern (λ = 1.5418 Å (Cu Kα)), based on DFT lattice parameters and positions (PBE).
Peak positions follow from Bragg's law for the DFT cell and can differ from measured ones.

Main lines, in order of rising 2θ (10° ≤ 2θ ≤ 90°):
2θ = 21.87°, I 19.3, hkl 1 1 2
2θ = 30.88°, I 42.3, hkl 0 0 4
2θ = 31.14°, I 38.6, hkl 2 0 2
2θ = 31.30°, I 100.0, hkl 1 3 2
2θ = 35.01°, I 27.1, hkl 2 2 2
2θ = 44.54°, I 15.4, hkl 2 2 4
2θ = 50.42°, I 18.9, hkl 3 3 2
2θ = 55.18°, I 14.1, hkl 1 3 6
2θ = 55.99°, I 14.6, hkl 2 6 0
2θ = 65.31°, I 17.5, hkl 2 6 4

Cell and atoms:
Lattice parameters (Å, degrees): 6.615 11.353 11.584 90.00 90.00 90.00
Space group Immm (No. 71)
Symmetry-distinct sites (fractional):
Pm 0.000 0.166 0.248 (multiplicity 8)
Pm 0.237 0.266 0.500 (multiplicity 8)
Pr 0.000 0.000 0.500 (multiplicity 2)
Er 0.000 0.000 0.000 (multiplicity 2)
Er 0.000 0.500 0.268 (multiplicity 4)

Record 2
KNdSe2O8: computed PXRD pattern (λ = 1.5418 Å (Cu Kα)), based on DFT lattice parameters and positions (PBE).
Peak positions follow from Bragg's law for the DFT cell and can differ from measured ones.

Main lines, in order of rising 2θ (10° ≤ 2θ ≤ 90°):
2θ = 25.05°, I 56.1, hkl 2 0 -2
2θ = 27.00°, I 100.0, hkl 1 2 -1
2θ = 27.80°, I 26.4, hkl 2 1 -2
2θ = 28.42°, I 77.0, hkl 2 1 2
2θ = 28.78°, I 22.2, hkl 1 1 3
2θ = 32.02°, I 33.0, hkl 0 0 4
2θ = 41.90°, I 26.8, hkl 4 1 0
2θ = 45.13°, I 30.4, hkl 1 3 3
2θ = 48.28°, I 24.1, hkl 1 2 -5
2θ = 48.36°, I 26.0, hkl 3 3 1

Cell and atoms:
Lattice parameters (Å, degrees): 9.012 7.458 11.187 90.00 91.57 90.00
Space group P2_1/c (No. 14)
Symmetry-distinct sites (fractional):
K 0.064 0.145 0.343 (multiplicity 4)
Nd 0.444 0.665 0.652 (multiplicity 4)
Se 0.223 0.658 0.411 (multiplicity 4)
Se 0.314 0.164 0.608 (multiplicity 4)
O 0.092 0.521 0.363 (multiplicity 4)
O 0.132 0.149 0.601 (multiplicity 4)
O 0.199 0.747 0.045 (multiplicity 4)
O 0.256 0.681 0.809 (multiplicity 4)
O 0.367 0.159 0.196 (multiplicity 4)
O 0.382 0.167 0.471 (multiplicity 4)
O 0.384 0.547 0.446 (multiplicity 4)
O 0.401 0.501 0.188 (multiplicity 4)

Record 3
Mg6Zn5Ir: computed PXRD pattern (λ = 1.5418 Å (Cu Kα)), based on DFT lattice parameters and positions (PBE).
Peak positions follow from Bragg's law for the DFT cell and can differ from measured ones.

Main lines, in order of rising 2θ (10° ≤ 2θ ≤ 90°):
2θ = 19.52°, I 30.7, hkl 1 0 0
2θ = 26.36°, I 41.2, hkl 1 0 1
2θ = 26.94°, I 44.0, hkl 1 0 -2
2θ = 28.99°, I 39.4, hkl 0 2 0
2θ = 35.19°, I 24.9, hkl 1 2 0
2θ = 37.72°, I 39.1, hkl 2 0 -1
2θ = 38.38°, I 58.3, hkl 0 0 3
2θ = 39.58°, I 100.0, hkl 1 2 1
2θ = 39.99°, I 94.9, hkl 1 2 -2
2θ = 48.80°, I 24.3, hkl 0 2 3

Cell and atoms:
Lattice parameters (Å, degrees): 4.771 6.160 7.384 90.00 107.63 90.00
Space group P2/m (No. 10)
Symmetry-distinct sites (fractional):
Mg 0.000 0.240 0.000 (multiplicity 2)
Mg 0.277 0.244 0.677 (multiplicity 4)
Zn 0.242 0.500 0.348 (multiplicity 2)
Zn 0.247 0.000 0.332 (multiplicity 2)
Zn 0.500 0.500 0.000 (multiplicity 1)
Ir 0.500 0.000 0.000 (multiplicity 1)

Record 4
Sr2ZnGa4Pt3: computed PXRD pattern (λ = 1.5418 Å (Cu Kα)), based on DFT lattice parameters and positions (PBE).
Peak positions follow from Bragg's law for the DFT cell and can differ from measured ones.

Main lines, in order of rising 2θ (10° ≤ 2θ ≤ 90°):
2θ = 21.92°, I 43.2, hkl 1 0 1
2θ = 26.35°, I 33.6, hkl 1 0 2
2θ = 32.51°, I 83.2, hkl 1 0 3
2θ = 33.45°, I 100.0, hkl 1 1 2
2θ = 41.13°, I 94.3, hkl 2 0 0
2θ = 44.95°, I 68.3, hkl 1 1 4
2θ = 47.59°, I 36.3, hkl 1 0 5
2θ = 53.38°, I 40.9, hkl 2 1 3
2θ = 59.58°, I 31.5, hkl 2 2 0
2θ = 64.69°, I 29.0, hkl 2 1 5

Cell and atoms:
Lattice parameters (Å, degrees): 4.389 4.389 10.611 90.00 90.00 90.00
Space group P-4m2 (No. 115)
Symmetry-distinct sites (fractional):
Sr 0.000 0.500 0.250 (multiplicity 2)
Zn 0.000 0.000 0.500 (multiplicity 1)
Ga 0.000 0.000 0.000 (multiplicity 1)
Ga 0.000 0.500 0.630 (multiplicity 2)
Ga 0.500 0.500 0.000 (multiplicity 1)
Pt 0.000 0.500 0.872 (multiplicity 2)
Pt 0.500 0.500 0.500 (multiplicity 1)

Record 5
In8Hg3Te2: computed PXRD pattern (λ = 1.5418 Å (Cu Kα)), based on DFT lattice parameters and positions (PBE).
Peak positions follow from Bragg's law for the DFT cell and can differ from measured ones.

Main lines, in order of rising 2θ (10° ≤ 2θ ≤ 90°):
2θ = 29.37°, I 58.1, hkl 2 1 2
2θ = 29.77°, I 47.3, hkl 2 0 0
2θ = 29.91°, I 36.8, hkl 2 1 0
2θ = 30.87°, I 100.0, hkl -1 1 2
2θ = 31.23°, I 37.3, hkl 1 0 3
2θ = 31.71°, I 78.3, hkl 0 2 -1
2θ = 33.12°, I 60.6, hkl 2 2 2
2θ = 33.67°, I 43.5, hkl 1 2 -1
2θ = 35.89°, I 55.0, hkl 2 -1 1
2θ = 41.23°, I 42.4, hkl 0 3 2

Cell and atoms:
Lattice parameters (Å, degrees): 6.526 7.143 9.350 70.27 70.41 72.04
Space group P-1 (No. 2)
Symmetry-distinct sites (fractional):
In 0.104 0.256 0.035 (multiplicity 2)
In 0.201 0.071 0.699 (multiplicity 2)
In 0.344 0.475 0.691 (multiplicity 2)
In 0.352 0.310 0.250 (multiplicity 2)
Hg 0.000 0.500 0.500 (multiplicity 1)
Hg 0.262 0.877 0.427 (multiplicity 2)
Te 0.293 0.789 0.055 (multiplicity 2)

Record 6
Nd4HoEr4: computed PXRD pattern (λ = 1.5418 Å (Cu Kα)), based on DFT lattice parameters and positions (PBE).
Peak positions follow from Bragg's law for the DFT cell and can differ from measured ones.

Main lines, in order of rising 2θ (10° ≤ 2θ ≤ 90°):
2θ = 30.54°, I 100.0, hkl 3 0 1
2θ = 35.34°, I 33.9, hkl 3 3 0
2θ = 35.55°, I 16.7, hkl 0 0 2
2θ = 50.84°, I 12.1, hkl 6 0 0
2θ = 51.00°, I 24.0, hkl 3 3 2
2θ = 60.48°, I 28.8, hkl 6 3 1
2θ = 60.75°, I 14.2, hkl 3 0 3
2θ = 63.57°, I 12.4, hkl 6 0 2
2θ = 82.87°, I 5.9, hkl 9 0 1
2θ = 83.11°, I 11.8, hkl 6 3 3

Cell and atoms:
Lattice parameters (Å, degrees): 10.775 10.775 5.051 90.00 90.00 90.00
Space group I4/mmm (No. 139)
Symmetry-distinct sites (fractional):
Nd 0.167 0.167 0.000 (multiplicity 8)
Ho 0.000 0.000 0.500 (multiplicity 2)
Er 0.000 0.335 0.500 (multiplicity 8)